# Zn15S16
Simulated X-ray powder pattern, copper Kα. Input: a DFT-relaxed cell (PBE, OQMD).
No peak broadening, texture or thermal motion is included.

Principal peaks in the range 2θ from 5° to 70°, sorted by position:
28.07°, 3.179 Å, I 55; 28.24°, 3.160 Å, I 23; 28.46°, 3.136 Å, I 81; 28.62°, 3.119 Å, I 66; 29.27°, 3.051 Å, I 28; 30.29°, 2.951 Å, I 18; 45.89°, 1.978 Å, I 21; 47.44°, 1.916 Å, I 24; 47.64°, 1.909 Å, I 100; 56.45°, 1.630 Å, I 74

Cell and atoms:
Lattice parameters (Å, degrees): 3.8174 3.8174 150.5312 90.00 90.00 120.00
Space group R3m (No. 160, hexagonal axes)
Asymmetric unit:
Zn  0.0000  0.0000  0.0000 x3
Zn  0.0000  0.0000  0.0417 x3
Zn  0.0000  0.0000  0.0834 x3
Zn  0.0000  0.0000  0.1454 x3
Zn  0.0000  0.0000  0.2083 x3
Zn  0.0000  0.0000  0.2708 x3
Zn  0.0000  0.0000  0.3542 x3
Zn  0.0000  0.0000  0.4378 x3
Zn  0.0000  0.0000  0.5208 x3
Zn  0.0000  0.0000  0.5833 x3
Zn  0.0000  0.0000  0.6459 x3
Zn  0.0000  0.0000  0.7292 x3
Zn  0.0000  0.0000  0.8333 x3
Zn  0.0000  0.0000  0.8958 x3
Zn  0.0000  0.0000  0.9583 x3
S  0.0000  0.0000  0.0261 x3
S  0.0000  0.0000  0.0678 x3
S  0.0000  0.0000  0.1304 x3
S  0.0000  0.0000  0.1928 x3
S  0.0000  0.0000  0.2553 x3
S  0.0000  0.0000  0.3386 x3
S  0.0000  0.0000  0.4218 x3
S  0.0000  0.0000  0.5053 x3
S  0.0000  0.0000  0.5678 x3
S  0.0000  0.0000  0.6303 x3
S  0.0000  0.0000  0.7136 x3
S  0.0000  0.0000  0.7760 x3
S  0.0000  0.0000  0.8179 x3
S  0.0000  0.0000  0.8803 x3
S  0.0000  0.0000  0.9428 x3
S  0.0000  0.0000  0.9845 x3

# ZnS
Simulated X-ray powder pattern, copper Kα. Input: a DFT-relaxed cell (PBE, OQMD).
No peak broadening, texture or thermal motion is included.

Principal peaks in the range 2θ from 5° to 70°, sorted by position:
27.71°, 3.219 Å, I 19; 28.16°, 3.169 Å, I 42; 28.32°, 3.151 Å, I 64; 28.47°, 3.135 Å, I 82; 28.87°, 3.092 Å, I 33; 29.28°, 3.050 Å, I 20; 46.45°, 1.955 Å, I 15; 46.91°, 1.937 Å, I 25; 47.40°, 1.918 Å, I 100; 56.23°, 1.636 Å, I 67

Cell and atoms:
Lattice parameters (Å, degrees): 3.8358 3.8358 169.2683 90.00 90.00 120.00
Space group R3m (No. 160, hexagonal axes)
Asymmetric unit:
Zn  0.0000  0.0000  0.0000 x3
Zn  0.0000  0.0000  0.0370 x3
Zn  0.0000  0.0000  0.0741 x3
Zn  0.0000  0.0000  0.1482 x3
Zn  0.0000  0.0000  0.2037 x3
Zn  0.0000  0.0000  0.2593 x3
Zn  0.0000  0.0000  0.3148 x3
Zn  0.0000  0.0000  0.3889 x3
Zn  0.0000  0.0000  0.4444 x3
Zn  0.0000  0.0000  0.5000 x3
Zn  0.0000  0.0000  0.5556 x3
Zn  0.0000  0.0000  0.6296 x3
Zn  0.0000  0.0000  0.6852 x3
Zn  0.0000  0.0000  0.7593 x3
Zn  0.0000  0.0000  0.7963 x3
Zn  0.0000  0.0000  0.8519 x3
Zn  0.0000  0.0000  0.9074 x3
Zn  0.0000  0.0000  0.9445 x3
S  0.0000  0.0000  0.0139 x3
S  0.0000  0.0000  0.0509 x3
S  0.0000  0.0000  0.0880 x3
S  0.0000  0.0000  0.1620 x3
S  0.0000  0.0000  0.2176 x3
S  0.0000  0.0000  0.2731 x3
S  0.0000  0.0000  0.3287 x3
S  0.0000  0.0000  0.4028 x3
S  0.0000  0.0000  0.4583 x3
S  0.0000  0.0000  0.5139 x3
S  0.0000  0.0000  0.5694 x3
S  0.0000  0.0000  0.6435 x3
S  0.0000  0.0000  0.6991 x3
S  0.0000  0.0000  0.7731 x3
S  0.0000  0.0000  0.8102 x3
S  0.0000  0.0000  0.8657 x3
S  0.0000  0.0000  0.9213 x3
S  0.0000  0.0000  0.9583 x3

# Zn2S3
Simulated X-ray powder pattern, copper Kα. Input: a DFT-relaxed cell (PBE, OQMD).
No peak broadening, texture or thermal motion is included.

Principal peaks in the range 2θ from 5° to 70°, sorted by position:
16.80°, 5.276 Å, I 45; 27.69°, 3.221 Å, I 100; 28.10°, 3.175 Å, I 50; 28.49°, 3.133 Å, I 98; 33.06°, 2.709 Å, I 95; 34.09°, 2.630 Å, I 87; 36.36°, 2.471 Å, I 41; 49.47°, 1.842 Å, I 77; 49.96°, 1.826 Å, I 70; 55.93°, 1.644 Å, I 40

Cell and atoms:
Lattice parameters (Å, degrees): 8.482 7.172 7.016 90.00 113.31 90.00
Space group Cc (No. 9)
Asymmetric unit:
Zn  0.000  0.085  0.000 x4
Zn  0.141  0.397  0.544 x4
S  0.241  0.106  0.685 x4
S  0.361  0.380  0.149 x4
S  0.490  0.116  0.675 x4

# Zr9S2
Simulated X-ray powder pattern, copper Kα. Input: a DFT-relaxed cell (PBE, OQMD).
No peak broadening, texture or thermal motion is included.

Principal peaks in the range 2θ from 5° to 70°, sorted by position:
31.81°, 2.813 Å, I 37; 33.38°, 2.684 Å, I 11; 33.66°, 2.663 Å, I 51; 34.42°, 2.605 Å, I 60; 35.94°, 2.499 Å, I 100; 36.79°, 2.443 Å, I 29; 38.26°, 2.353 Å, I 12; 45.75°, 1.983 Å, I 13; 58.25°, 1.584 Å, I 11; 65.71°, 1.421 Å, I 16

Cell and atoms:
Lattice parameters (Å, degrees): 9.773 9.773 19.373 90.00 90.00 90.00
Space group I4_1/amd (No. 141, origin choice 2)
Asymmetric unit:
Zr  0.000  0.030  0.357 x16
Zr  0.000  0.078  0.068 x16
Zr  0.000  0.101  0.801 x16
Zr  0.000  0.250  0.240 x8
Zr  0.179  0.000  0.500 x16
S  0.228  0.022  0.875 x16

# Sc2ZnSb
Simulated X-ray powder pattern, copper Kα. Input: a DFT-relaxed cell (PBE, OQMD).
No peak broadening, texture or thermal motion is included.

Principal peaks in the range 2θ from 5° to 70°, sorted by position:
21.92°, 4.054 Å, I 19; 25.37°, 3.511 Å, I 4; 36.18°, 2.483 Å, I 100; 42.71°, 2.117 Å, I 11; 44.71°, 2.027 Å, I 1; 52.10°, 1.755 Å, I 17; 57.18°, 1.611 Å, I 5; 58.81°, 1.570 Å, I 2; 65.08°, 1.433 Å, I 33; 69.57°, 1.351 Å, I 3

Cell and atoms:
Lattice parameters (Å, degrees): 7.022 7.022 7.022 90.00 90.00 90.00
Space group F-43m (No. 216)
Asymmetric unit:
Sc  0.000  0.000  0.000 x4
Sc  0.250  0.250  0.250 x4
Zn  0.000  0.000  0.500 x4
Sb  0.250  0.250  0.750 x4

# Sm2SbSe
Simulated X-ray powder pattern, copper Kα. Input: a DFT-relaxed cell (PBE, OQMD).
No peak broadening, texture or thermal motion is included.

Principal peaks in the range 2θ from 5° to 70°, sorted by position:
14.46°, 6.124 Å, I 1; 20.50°, 4.333 Å, I 1; 25.18°, 3.537 Å, I 7; 29.15°, 3.063 Å, I 100; 41.70°, 2.166 Å, I 76; 49.34°, 1.847 Å, I 4; 51.69°, 1.768 Å, I 27; 60.45°, 1.532 Å, I 13; 66.53°, 1.405 Å, I 2; 68.50°, 1.370 Å, I 34

Cell and atoms:
Lattice parameters (Å, degrees): 4.333 4.333 6.124 90.00 90.00 90.00
Space group P4/mmm (No. 123)
Asymmetric unit:
Sm  0.000  0.000  0.000 x1
Sm  0.500  0.500  0.500 x1
Sb  0.000  0.000  0.500 x1
Se  0.500  0.500  0.000 x1

# TaSbSe4
Simulated X-ray powder pattern, copper Kα. Input: a DFT-relaxed cell (PBE, OQMD).
No peak broadening, texture or thermal motion is included.

Principal peaks in the range 2θ from 5° to 70°, sorted by position:
9.81°, 9.017 Å, I 100; 28.71°, 3.109 Å, I 23; 32.04°, 2.794 Å, I 15; 33.53°, 2.673 Å, I 13; 37.89°, 2.375 Å, I 24; 40.49°, 2.228 Å, I 10; 45.45°, 1.995 Å, I 9; 48.62°, 1.873 Å, I 12; 62.36°, 1.489 Å, I 4; 66.99°, 1.397 Å, I 5

Cell and atoms:
Lattice parameters (Å, degrees): 3.586 18.033 6.637 90.00 90.00 90.00
Space group Cmm2 (No. 35)
Asymmetric unit:
Ta  0.000  0.000  0.000 x2
Sb  0.000  0.500  0.505 x2
Se  0.000  0.095  0.288 x4
Se  0.000  0.407  0.854 x4

# TaSbSe4
Simulated X-ray powder pattern, copper Kα. Input: a DFT-relaxed cell (PBE, OQMD).
No peak broadening, texture or thermal motion is included.

Principal peaks in the range 2θ from 5° to 70°, sorted by position:
9.24°, 9.571 Å, I 100; 29.28°, 3.050 Å, I 13; 32.19°, 2.781 Å, I 14; 34.56°, 2.596 Å, I 11; 37.40°, 2.404 Å, I 22; 40.65°, 2.219 Å, I 9; 44.23°, 2.048 Å, I 9; 51.45°, 1.776 Å, I 10; 52.19°, 1.753 Å, I 5; 67.35°, 1.390 Å, I 6

Cell and atoms:
Lattice parameters (Å, degrees): 19.143 3.567 6.179 90.00 90.00 90.00
Space group Amm2 (No. 38)
Asymmetric unit:
Ta  0.000  0.000  0.000 x2
Sb  0.500  0.000  0.500 x2
Se  0.086  0.000  0.333 x4
Se  0.400  0.000  0.833 x4

# TaSbSe4
Simulated X-ray powder pattern, copper Kα. Input: a DFT-relaxed cell (PBE, OQMD).
No peak broadening, texture or thermal motion is included.

Principal peaks in the range 2θ from 5° to 70°, sorted by position:
6.42°, 13.764 Å, I 16; 12.86°, 6.882 Å, I 67; 28.93°, 3.087 Å, I 37; 31.77°, 2.816 Å, I 12; 35.04°, 2.561 Å, I 100; 44.08°, 2.054 Å, I 42; 51.27°, 1.782 Å, I 29; 53.09°, 1.725 Å, I 11; 63.61°, 1.463 Å, I 17; 69.87°, 1.346 Å, I 11

Cell and atoms:
Lattice parameters (Å, degrees): 3.5641 3.5641 13.7637 90.00 90.00 120.00
Space group P-6m2 (No. 187)
Asymmetric unit:
Ta  0.0000  0.0000  0.0000 x1
Sb  0.6667  0.3333  0.5000 x1
Se  0.0000  0.0000  0.3616 x2
Se  0.6667  0.3333  0.1200 x2

# Tm3SbSe2
Simulated X-ray powder pattern, copper Kα. Input: a DFT-relaxed cell (PBE, OQMD).
No peak broadening, texture or thermal motion is included.

Principal peaks in the range 2θ from 5° to 70°, sorted by position:
26.42°, 3.374 Å, I 13; 26.74°, 3.334 Å, I 3; 30.69°, 2.913 Å, I 100; 36.82°, 2.441 Å, I 2; 43.75°, 2.069 Å, I 38; 44.16°, 2.051 Å, I 35; 52.02°, 1.758 Å, I 4; 54.39°, 1.687 Å, I 20; 55.09°, 1.667 Å, I 6; 63.91°, 1.457 Å, I 12

Cell and atoms:
Lattice parameters (Å, degrees): 4.1383 4.1383 10.0019 90.00 90.00 120.00
Space group P-3m1 (No. 164)
Asymmetric unit:
Tm  0.0000  0.0000  0.0000 x1
Tm  0.3333  0.6667  0.3188 x2
Sb  0.0000  0.0000  0.5000 x1
Se  0.3333  0.6667  0.8417 x2

# SmYZr2Sb2
Simulated X-ray powder pattern, copper Kα. Input: a DFT-relaxed cell (PBE, OQMD).
No peak broadening, texture or thermal motion is included.

Principal peaks in the range 2θ from 5° to 70°, sorted by position:
29.40°, 3.038 Å, I 33; 31.31°, 2.857 Å, I 80; 31.98°, 2.799 Å, I 33; 33.88°, 2.646 Å, I 52; 36.51°, 2.461 Å, I 100; 42.06°, 2.148 Å, I 62; 53.80°, 1.704 Å, I 29; 55.07°, 1.668 Å, I 25; 61.00°, 1.519 Å, I 20; 64.81°, 1.438 Å, I 16

Cell and atoms:
Lattice parameters (Å, degrees): 4.296 4.296 16.792 90.00 90.00 90.00
Space group I4mm (No. 107)
Asymmetric unit:
Sm  0.000  0.000  0.000 x2
Y  0.000  0.000  0.646 x2
Zr  0.000  0.500  0.322 x4
Sb  0.000  0.000  0.191 x2
Sb  0.000  0.000  0.453 x2

# SnSb4W2
Simulated X-ray powder pattern, copper Kα. Input: a DFT-relaxed cell (PBE, OQMD).
No peak broadening, texture or thermal motion is included.

Principal peaks in the range 2θ from 5° to 70°, sorted by position:
18.60°, 4.770 Å, I 5; 22.48°, 3.956 Å, I 23; 29.33°, 3.045 Å, I 8; 36.81°, 2.442 Å, I 100; 37.72°, 2.385 Å, I 49; 44.35°, 2.042 Å, I 8; 51.64°, 1.770 Å, I 8; 54.40°, 1.686 Å, I 17; 65.69°, 1.421 Å, I 16; 67.50°, 1.388 Å, I 34

Cell and atoms:
Lattice parameters (Å, degrees): 4.770 4.770 7.080 90.00 90.00 90.00
Space group P4/mmm (No. 123)
Asymmetric unit:
Sn  0.000  0.000  0.000 x1
Sb  0.000  0.500  0.276 x4
W  0.000  0.000  0.500 x1
W  0.500  0.500  0.000 x1